Structure and theoretical powder diffraction line list of Li3Cr2P3O12 (a crystal structure in the Materials Project, relaxed with PBE+U; CuKα).
Peak positions follow from Bragg's law for the DFT cell and can differ from measured ones.

Crystal structure
```
data_Li3Cr2P3O12
_chemical_formula_sum 'Li12 Cr8 P12 O48'
_cell_length_a 11.799
_cell_length_b 12.232
_cell_length_c 6.349
_cell_angle_alpha 90.00
_cell_angle_beta 114.13
_cell_angle_gamma 90.00
_symmetry_space_group_name_H-M 'C 1 2/c 1'
_symmetry_Int_Tables_number 15
_symmetry_space_group_name_Hall '-C 2yc'
loop_
_atom_site_label
_atom_site_type_symbol
_atom_site_fract_x
_atom_site_fract_y
_atom_site_fract_z
Li1 Li 0.000 0.000 0.000
Li2 Li 0.000 0.220 0.250
Li3 Li 0.000 0.473 0.750
Cr1 Cr 0.219 0.339 0.138
P1 P 0.000 0.216 0.750
P2 P 0.242 0.397 0.632
O1 O 0.045 0.292 0.967
O2 O 0.099 0.138 0.729
O3 O 0.121 0.082 0.300
O4 O 0.162 0.496 0.105
O5 O 0.175 0.334 0.402
O6 O 0.228 0.323 0.827
```

Largest 10 diffraction maxima, sorted by position, 2θ = 10–90°:
2θ (°)	I/Imax
14.5	37
15.9	32
16.5	100
26.0	22
29.4	56
31.6	18
33.1	28
33.3	23
33.7	36
47.7	18

Structure and theoretical powder diffraction line list of NiAgF3 (a crystal structure in the Materials Project, relaxed with PBE+U; CuKα).
Peak positions follow from Bragg's law for the DFT cell and can differ from measured ones.

Crystal structure
```
data_NiAgF3
_chemical_formula_sum 'Ni1 Ag1 F3'
_cell_length_a 4.004
_cell_length_b 4.004
_cell_length_c 4.004
_cell_angle_alpha 90.00
_cell_angle_beta 90.00
_cell_angle_gamma 90.00
_symmetry_space_group_name_H-M 'P m -3 m'
_symmetry_Int_Tables_number 221
_symmetry_space_group_name_Hall '-P 4 2 3'
loop_
_atom_site_label
_atom_site_type_symbol
_atom_site_fract_x
_atom_site_fract_y
_atom_site_fract_z
Ni1 Ni 0.000 0.000 0.000
Ag1 Ag 0.500 0.500 0.500
F1 F 0.000 0.000 0.500
```

Largest 10 diffraction maxima, sorted by position, 2θ = 10–90°:
2θ (°)	I/Imax
22.2	3
31.6	100
39.0	17
45.3	39
51.0	2
56.3	37
66.0	22
75.0	16
79.4	5
83.7	7

Structure and theoretical powder diffraction line list of Ca10V6O25 (a crystal structure in the Materials Project, relaxed with PBE+U; CuKα).
Peak positions follow from Bragg's law for the DFT cell and can differ from measured ones.

Crystal structure
```
data_Ca10V6O25
_chemical_formula_sum 'Ca10 V6 O25'
_cell_length_a 10.0252
_cell_length_b 10.0252
_cell_length_c 6.8041
_cell_angle_alpha 90.00
_cell_angle_beta 90.00
_cell_angle_gamma 120.00
_symmetry_space_group_name_H-M 'P -3'
_symmetry_Int_Tables_number 147
_symmetry_space_group_name_Hall '-P 3'
loop_
_atom_site_label
_atom_site_type_symbol
_atom_site_fract_x
_atom_site_fract_y
_atom_site_fract_z
Ca1 Ca 0.0183 0.7729 0.2278
Ca2 Ca 0.3333 0.6667 0.0082
Ca3 Ca 0.3333 0.6667 0.5135
V1 V 0.0266 0.4020 0.2589
O1 O 0.0000 0.0000 0.0000
O2 O 0.0738 0.3142 0.4453
O3 O 0.0979 0.3576 0.0526
O4 O 0.1332 0.6051 0.2754
O5 O 0.1682 0.6686 0.7563
```

Largest 10 diffraction maxima, sorted by position, 2θ = 10–90°:
2θ (°)	I/Imax
10.2	21
22.0	22
26.2	23
27.2	18
30.2	100
30.9	42
31.8	46
44.9	32
48.8	30
53.3	19

Structure and theoretical powder diffraction line list of Li2Mn3CuO8 (a crystal structure in the Materials Project, relaxed with PBE+U; CuKα).
Peak positions follow from Bragg's law for the DFT cell and can differ from measured ones.

Crystal structure
```
data_Li2Mn3CuO8
_chemical_formula_sum 'Li6 Mn9 Cu3 O24'
_cell_length_a 5.8716
_cell_length_b 5.8716
_cell_length_c 14.6863
_cell_angle_alpha 90.00
_cell_angle_beta 90.00
_cell_angle_gamma 120.00
_symmetry_space_group_name_H-M 'R -3 m'
_symmetry_Int_Tables_number 166
_symmetry_space_group_name_Hall '-R 3 2"'
loop_
_atom_site_label
_atom_site_type_symbol
_atom_site_fract_x
_atom_site_fract_y
_atom_site_fract_z
Li1 Li 0.0000 0.0000 0.1198
Mn1 Mn 0.0000 0.5000 0.0000
Cu1 Cu 0.0000 0.0000 0.5000
O1 O 0.0000 0.0000 0.2631
O2 O 0.0303 0.5152 0.2616
```

Largest 10 diffraction maxima, sorted by position, 2θ = 10–90°:
2θ (°)	I/Imax
18.1	33
18.5	100
35.3	17
35.7	37
35.8	10
37.4	12
43.3	72
57.3	12
62.4	21
63.4	21

Structure and theoretical powder diffraction line list of MgMo2Cl8O2 (a crystal structure in the Materials Project, relaxed with PBE+U; CuKα).
Peak positions follow from Bragg's law for the DFT cell and can differ from measured ones.

Crystal structure
```
data_MgMo2Cl8O2
_chemical_formula_sum 'Mg1 Mo2 Cl8 O2'
_cell_length_a 6.288
_cell_length_b 7.818
_cell_length_c 7.964
_cell_angle_alpha 104.73
_cell_angle_beta 93.72
_cell_angle_gamma 108.13
_symmetry_space_group_name_H-M 'P -1'
_symmetry_Int_Tables_number 2
_symmetry_space_group_name_Hall '-P 1'
loop_
_atom_site_label
_atom_site_type_symbol
_atom_site_fract_x
_atom_site_fract_y
_atom_site_fract_z
Mg1 Mg 0.000 0.000 0.000
Mo1 Mo 0.431 0.783 0.731
Cl1 Cl 0.148 0.511 0.734
Cl2 Cl 0.152 0.935 0.707
Cl3 Cl 0.297 0.896 0.127
Cl4 Cl 0.310 0.313 0.109
O1 O 0.492 0.740 0.524
```

Largest 10 diffraction maxima, sorted by position, 2θ = 10–90°:
2θ (°)	I/Imax
14.4	100
15.0	26
19.4	29
20.5	43
22.6	16
23.4	28
25.8	26
33.4	40
33.6	39
46.1	17

Structure and theoretical powder diffraction line list of Li2Ni3WO8 (a crystal structure in the Materials Project, relaxed with PBE+U; CuKα).
Peak positions follow from Bragg's law for the DFT cell and can differ from measured ones.

Crystal structure
```
data_Li2Ni3WO8
_chemical_formula_sum 'Li8 Ni12 W4 O32'
_cell_length_a 8.256
_cell_length_b 8.275
_cell_length_c 8.805
_cell_angle_alpha 90.00
_cell_angle_beta 90.00
_cell_angle_gamma 90.00
_symmetry_space_group_name_H-M 'P 21 21 21'
_symmetry_Int_Tables_number 19
_symmetry_space_group_name_Hall 'P 2ac 2ab'
loop_
_atom_site_label
_atom_site_type_symbol
_atom_site_fract_x
_atom_site_fract_y
_atom_site_fract_z
Li1 Li 0.006 0.004 0.494
Li2 Li 0.227 0.751 0.244
Ni1 Ni 0.122 0.377 0.378
Ni2 Ni 0.123 0.126 0.130
Ni3 Ni 0.135 0.876 0.879
W1 W 0.121 0.621 0.637
O1 O 0.108 0.897 0.108
O2 O 0.110 0.129 0.867
O3 O 0.110 0.614 0.401
O4 O 0.126 0.150 0.362
O5 O 0.130 0.393 0.621
O6 O 0.139 0.623 0.856
O7 O 0.140 0.360 0.128
O8 O 0.144 0.860 0.631
```

Largest 10 diffraction maxima, sorted by position, 2θ = 10–90°:
2θ (°)	I/Imax
14.7	13
18.2	100
34.2	21
35.8	34
36.9	27
41.0	19
43.8	16
43.9	17
61.5	10
63.7	15

Structure and theoretical powder diffraction line list of MgCd2Fe4O8 (a crystal structure in the Materials Project, relaxed with PBE+U; CuKα).
Peak positions follow from Bragg's law for the DFT cell and can differ from measured ones.

Crystal structure
```
data_MgCd2Fe4O8
_chemical_formula_sum 'Mg1 Cd2 Fe4 O8'
_cell_length_a 6.168
_cell_length_b 6.396
_cell_length_c 6.459
_cell_angle_alpha 118.84
_cell_angle_beta 117.93
_cell_angle_gamma 91.16
_symmetry_space_group_name_H-M 'P 1'
_symmetry_Int_Tables_number 1
_symmetry_space_group_name_Hall 'P 1'
loop_
_atom_site_label
_atom_site_type_symbol
_atom_site_fract_x
_atom_site_fract_y
_atom_site_fract_z
Mg1 Mg 0.000 0.000 0.000
Cd1 Cd 0.297 0.305 0.590
Cd2 Cd 0.954 0.456 0.904
Fe1 Fe 0.092 0.814 0.616
Fe2 Fe 0.525 0.820 0.614
Fe3 Fe 0.608 0.357 0.216
Fe4 Fe 0.610 0.871 0.214
O1 O 0.386 0.600 0.195
O2 O 0.387 0.120 0.238
O3 O 0.397 0.110 0.791
O4 O 0.398 0.698 0.789
O5 O 0.814 0.609 0.196
O6 O 0.831 0.043 0.661
O7 O 0.832 0.626 0.659
O8 O 0.855 0.129 0.240
```

Largest 10 diffraction maxima, sorted by position, 2θ = 10–90°:
2θ (°)	I/Imax
27.7	28
27.9	40
29.0	37
31.8	100
32.7	48
33.2	47
33.4	50
33.9	63
57.7	22
60.0	20

Structure and theoretical powder diffraction line list of Mn2PO5 (a crystal structure in the Materials Project, relaxed with PBE+U; CuKα).
Peak positions follow from Bragg's law for the DFT cell and can differ from measured ones.

Crystal structure
```
data_Mn2PO5
_chemical_formula_sum 'Mn4 P2 O10'
_cell_length_a 5.602
_cell_length_b 5.603
_cell_length_c 7.153
_cell_angle_alpha 67.92
_cell_angle_beta 67.96
_cell_angle_gamma 86.30
_symmetry_space_group_name_H-M 'P -1'
_symmetry_Int_Tables_number 2
_symmetry_space_group_name_Hall '-P 1'
loop_
_atom_site_label
_atom_site_type_symbol
_atom_site_fract_x
_atom_site_fract_y
_atom_site_fract_z
Mn1 Mn 0.000 0.000 0.000
Mn2 Mn 0.000 0.000 0.500
Mn3 Mn 0.000 0.500 0.000
Mn4 Mn 0.500 0.000 0.500
P1 P 0.368 0.631 0.250
O1 O 0.100 0.900 0.750
O2 O 0.207 0.716 0.101
O3 O 0.284 0.793 0.400
O4 O 0.303 0.338 0.377
O5 O 0.338 0.304 0.876
```

Largest 10 diffraction maxima, sorted by position, 2θ = 10–90°:
2θ (°)	I/Imax
17.1	38
26.4	100
27.4	27
27.6	90
29.1	24
42.8	37
52.2	24
54.4	25
56.7	31
57.0	24

Structure and theoretical powder diffraction line list of CaNdMn2O6 (a crystal structure in the Materials Project, relaxed with PBE+U; CuKα).
Peak positions follow from Bragg's law for the DFT cell and can differ from measured ones.

Crystal structure
```
data_CaNdMn2O6
_chemical_formula_sum 'Ca2 Nd2 Mn4 O12'
_cell_length_a 7.679
_cell_length_b 5.462
_cell_length_c 5.520
_cell_angle_alpha 90.00
_cell_angle_beta 90.00
_cell_angle_gamma 90.00
_symmetry_space_group_name_H-M 'P m c 21'
_symmetry_Int_Tables_number 26
_symmetry_space_group_name_Hall 'P 2c -2'
loop_
_atom_site_label
_atom_site_type_symbol
_atom_site_fract_x
_atom_site_fract_y
_atom_site_fract_z
Ca1 Ca 0.000 0.241 0.000
Nd1 Nd 0.500 0.258 0.918
Mn1 Mn 0.244 0.249 0.461
O1 O 0.000 0.334 0.435
O2 O 0.214 0.043 0.755
O3 O 0.297 0.469 0.179
O4 O 0.500 0.175 0.475
```

Largest 10 diffraction maxima, sorted by position, 2θ = 10–90°:
2θ (°)	I/Imax
11.5	32
25.7	28
32.4	20
32.8	100
46.8	25
47.4	13
58.1	12
58.6	27
58.8	9
68.8	15

Structure and theoretical powder diffraction line list of KMgMn4O8 (a crystal structure in the Materials Project, relaxed with PBE+U; CuKα).
Peak positions follow from Bragg's law for the DFT cell and can differ from measured ones.

Crystal structure
```
data_KMgMn4O8
_chemical_formula_sum 'K1 Mg1 Mn4 O8'
_cell_length_a 3.163
_cell_length_b 7.351
_cell_length_c 7.491
_cell_angle_alpha 91.00
_cell_angle_beta 97.66
_cell_angle_gamma 98.29
_symmetry_space_group_name_H-M 'P 1'
_symmetry_Int_Tables_number 1
_symmetry_space_group_name_Hall 'P 1'
loop_
_atom_site_label
_atom_site_type_symbol
_atom_site_fract_x
_atom_site_fract_y
_atom_site_fract_z
K1 K 0.000 0.000 0.000
Mg1 Mg 0.628 0.277 0.699
Mn1 Mn 0.230 0.600 0.776
Mn2 Mn 0.242 0.237 0.376
Mn3 Mn 0.624 0.880 0.461
Mn4 Mn 0.864 0.578 0.138
O1 O 0.006 0.756 0.336
O2 O 0.120 0.388 0.588
O3 O 0.307 0.051 0.580
O4 O 0.329 0.432 0.219
O5 O 0.386 0.715 0.020
O6 O 0.641 0.095 0.282
O7 O 0.708 0.737 0.682
O8 O 0.777 0.445 0.900
```

Largest 10 diffraction maxima, sorted by position, 2θ = 10–90°:
2θ (°)	I/Imax
12.2	41
16.8	87
17.4	78
26.9	64
27.4	100
27.7	57
33.6	79
33.9	62
35.1	49
38.3	50